Diffraction record for CdNiTeO6. The powder diffractogram is calculated, not measured: it uses a cell relaxed with GGA+U and Cu Kα X-rays.
Peak positions follow from Bragg's law for the DFT cell and can differ from measured ones.

Largest 10 diffraction maxima, by angle, 2θ from 5° to 70°:
20.56 deg, rel. 10, hkl 1 0 1; 26.01 deg, rel. 100, hkl 1 1 0; 33.69 deg, rel. 75, hkl 1 0 3; 37.12 deg, rel. 20, hkl 2 0 0; 50.99 deg, rel. 64, hkl 2 1 3; 53.50 deg, rel. 17, hkl 2 2 0; 57.93 deg, rel. 8, hkl 0 0 6; 60.43 deg, rel. 14, hkl 3 1 0; 64.56 deg, rel. 14, hkl 1 1 6; 64.73 deg, rel. 19, hkl 3 0 3

Atomic structure:
```
data_CdNiTeO6
_symmetry_space_group_name_H-M 'P 1'
_symmetry_Int_Tables_number 1
_cell_length_a 4.844
_cell_length_b 4.844
_cell_length_c 9.550
_cell_angle_alpha 90.00
_cell_angle_beta 90.00
_cell_angle_gamma 90.00
loop_
_symmetry_equiv_pos_as_xyz
'x,y,z'
loop_
_atom_site_label
_atom_site_type_symbol
_atom_site_fract_x
_atom_site_fract_y
_atom_site_fract_z
Cd1 Cd 0.000 0.000 0.000
Cd2 Cd 0.500 0.500 0.500
Ni1 Ni 0.000 0.000 0.333
Ni2 Ni 0.500 0.500 0.833
Te1 Te 0.000 0.000 0.663
Te2 Te 0.500 0.500 0.163
O1 O 0.176 0.176 0.503
O2 O 0.198 0.198 0.808
O3 O 0.214 0.214 0.179
O4 O 0.286 0.714 0.679
O5 O 0.302 0.698 0.308
O6 O 0.324 0.676 0.003
O7 O 0.676 0.324 0.003
O8 O 0.698 0.302 0.308
O9 O 0.714 0.286 0.679
O10 O 0.786 0.786 0.179
O11 O 0.802 0.802 0.808
O12 O 0.824 0.824 0.503
```